Theoretical PXRD pattern of MgFe6O6F6 for Cu Kα, 1.54184 Å, from a PBE+U-relaxed structure.

Structural model:
```
MgFe6O6F6
1.0
3.1263 0.0000 0.0000
0.0022 5.1039 0.0000
1.5492 1.6629 14.2732
Mg Fe O F
1 6 6 6
Direct
0.0000 0.0000 0.0000
0.1049 0.0176 0.7998
0.2531 0.1220 0.4879
0.4014 0.1149 0.1944
0.5197 0.5071 0.9715
0.6749 0.5026 0.6437
0.8289 0.6158 0.3390
0.2057 0.3819 0.5830
0.4700 0.1577 0.0620
0.5611 0.8693 0.8962
0.6321 0.2019 0.7426
0.7850 0.2750 0.4241
0.8806 0.9364 0.2367
0.0539 0.3172 0.9007
0.1424 0.7047 0.7217
0.2938 0.8081 0.4088
0.3724 0.4423 0.2498
0.7145 0.8825 0.5652
0.9785 0.6396 0.0555
```

The 10 most intense peaks (2θ = 15–90°), in order of rising 2θ:
| 2θ (°) | d (Å) | I/Imax | index |
| --- | --- | --- | --- |
| 24.1 | 3.689 | 728 | 0 1 3 |
| 27.1 | 3.285 | 1000 | 0 1 -3 |
| 28.9 | 3.091 | 323 | 0 1 4 |
| 33.6 | 2.665 | 646 | 1 -1 0 |
| 36.2 | 2.481 | 656 | 1 0 -3 |
| 49.6 | 1.839 | 313 | 1 2 4 |
| 52.4 | 1.746 | 419 | -1 1 6 |
| 55.9 | 1.645 | 274 | 1 1 -6 |
| 59.1 | 1.563 | 263 | 2 0 1 |
| 62.2 | 1.493 | 351 | 1 3 1 |


Theoretical PXRD pattern of MgFe4O4F4 for Cu Kα, 1.54184 Å, from a PBE+U-relaxed structure.

Structural model:
```
MgFe4O4F4
1.0
5.3058 0.0000 0.0000
0.3120 5.3647 0.0000
0.2019 0.0961 5.9440
Mg Fe O F
1 4 4 4
Direct
0.0000 0.0000 0.0000
0.0050 0.4530 0.6997
0.3599 0.9419 0.4683
0.4986 0.1571 0.9450
0.9772 0.4911 0.2235
0.1664 0.6529 0.4674
0.2113 0.1440 0.7201
0.2468 0.1290 0.2108
0.8073 0.3362 0.9637
0.1579 0.6698 0.9345
0.6401 0.8788 0.6831
0.7198 0.8598 0.1852
0.7527 0.3615 0.4934
```

The 10 most intense peaks (2θ = 15–90°), in order of rising 2θ:
| 2θ (°) | d (Å) | I/Imax | index |
| --- | --- | --- | --- |
| 16.7 | 5.294 | 279 | 1 0 0 |
| 22.9 | 3.882 | 794 | 1 1 0 |
| 24.3 | 3.664 | 1000 | 1 -1 0 |
| 27.9 | 3.198 | 206 | 1 1 -1 |
| 34.3 | 2.618 | 201 | 0 1 2 |
| 35.1 | 2.556 | 265 | 1 0 -2 |
| 38.5 | 2.339 | 311 | 1 -2 0 |
| 38.8 | 2.321 | 501 | 1 1 -2 |
| 47.4 | 1.917 | 214 | 2 1 2 |
| 49.3 | 1.848 | 321 | 2 -1 2 |


Theoretical PXRD pattern of MgFe4O4F4 for Cu Kα, 1.54184 Å, from a PBE+U-relaxed structure.

Structural model:
```
MgFe4O4F4
1.0
3.0292 0.0000 0.0000
-0.0408 5.3820 0.0000
-0.0807 -2.0499 9.8486
Mg Fe O F
1 4 4 4
Direct
0.0000 0.0000 0.0000
0.0051 0.1794 0.2846
0.0150 0.2275 0.7165
0.5018 0.4942 0.0278
0.5122 0.6906 0.5126
0.0075 0.4954 0.4035
0.0133 0.2974 0.9138
0.0170 0.8919 0.5991
0.5026 0.1994 0.1517
0.4959 0.8031 0.9127
0.5054 0.0052 0.3708
0.5154 0.4405 0.6436
0.9882 0.7505 0.1303
```

The 10 most intense peaks (2θ = 15–90°), in order of rising 2θ:
| 2θ (°) | d (Å) | I/Imax | index |
| --- | --- | --- | --- |
| 22.1 | 4.031 | 788 | 0 1 -2 |
| 27.2 | 3.280 | 1000 | 0 1 2 |
| 29.0 | 3.082 | 478 | 0 1 -3 |
| 34.0 | 2.636 | 432 | 1 -1 0 |
| 34.3 | 2.615 | 344 | 1 1 0 |
| 34.6 | 2.591 | 304 | 1 0 -2 |
| 34.9 | 2.568 | 346 | 1 0 2 |
| 49.8 | 1.830 | 296 | 1 -2 3 |
| 52.0 | 1.759 | 284 | 0 2 -5 |
| 61.2 | 1.514 | 265 | 2 0 0 |


Theoretical PXRD pattern of MgFe4O4F4 for Cu Kα, 1.54184 Å, from a PBE+U-relaxed structure.

Structural model:
```
MgFe4O4F4
1.0
5.2481 0.0000 0.0000
-0.7220 5.2327 0.0000
-0.0620 -1.6159 5.9062
Mg Fe O F
1 4 4 4
Direct
0.0000 0.0000 0.0000
0.2352 0.4986 0.8938
0.4883 0.0410 0.2605
0.4920 0.0006 0.7359
0.9506 0.6732 0.4173
0.1319 0.7781 0.1853
0.1481 0.7553 0.7022
0.3570 0.2104 0.0158
0.6464 0.8299 0.4580
0.3857 0.2625 0.5828
0.6370 0.7930 0.9417
0.8586 0.2270 0.8310
0.8723 0.2837 0.2900
```

The 10 most intense peaks (2θ = 15–90°), in order of rising 2θ:
| 2θ (°) | d (Å) | I/Imax | index |
| --- | --- | --- | --- |
| 17.6 | 5.047 | 411 | 0 1 0 |
| 22.7 | 3.912 | 464 | 1 -1 0 |
| 23.3 | 3.811 | 353 | 1 0 1 |
| 25.1 | 3.549 | 359 | 1 -1 1 |
| 26.3 | 3.384 | 784 | 1 1 0 |
| 29.4 | 3.035 | 397 | -1 1 1 |
| 34.8 | 2.577 | 354 | 1 -1 2 |
| 41.3 | 2.185 | 1000 | 2 1 0 |
| 42.6 | 2.122 | 433 | 1 -2 2 |
| 61.1 | 1.516 | 324 | 2 -3 0 |


Theoretical PXRD pattern of MgFe4O4F4 for Cu Kα, 1.54184 Å, from a PBE+U-relaxed structure.

Structural model:
```
MgFe4O4F4
1.0
5.1773 0.0000 0.0000
1.3107 5.1595 0.0000
0.1283 0.3959 6.0471
Mg Fe O F
1 4 4 4
Direct
0.0000 0.0000 0.0000
0.4491 0.1501 0.7436
0.5255 0.0592 0.2783
0.7817 0.5408 0.9807
0.9050 0.4869 0.4859
0.0749 0.3073 0.7745
0.5897 0.2961 0.4850
0.6144 0.2410 0.0047
0.8376 0.7680 0.2342
0.1174 0.2110 0.2363
0.3823 0.8379 0.9891
0.3986 0.8762 0.5405
0.8500 0.8344 0.7623
```

The 10 most intense peaks (2θ = 15–90°), in order of rising 2θ:
| 2θ (°) | d (Å) | I/Imax | index |
| --- | --- | --- | --- |
| 17.2 | 5.148 | 300 | 0 1 0 |
| 17.7 | 5.018 | 491 | 1 0 0 |
| 21.5 | 4.136 | 1000 | 1 1 0 |
| 27.7 | 3.220 | 634 | 1 -1 0 |
| 33.4 | 2.685 | 305 | 0 1 2 |
| 35.1 | 2.560 | 265 | 1 2 0 |
| 35.4 | 2.536 | 360 | 0 1 -2 |
| 35.8 | 2.509 | 826 | 1 1 2 |
| 43.8 | 2.065 | 284 | 2 -1 0 |
| 48.1 | 1.892 | 300 | 1 2 -2 |


Theoretical PXRD pattern of MgFe12O12F12 for Cu Kα, 1.54184 Å, from a PBE+U-relaxed structure.

Structural model:
```
MgFe12O12F12
1.0
9.7106 0.0000 0.0000
0.0000 3.0921 0.0000
-0.5460 0.0000 14.5151
Mg Fe O F
1 12 12 12
Direct
0.0000 0.0000 0.0000
0.0033 0.0000 0.1765
0.0364 0.0000 0.5006
0.0663 0.0000 0.8122
0.2610 0.5000 0.9978
0.2643 0.5000 0.3572
0.2686 0.5000 0.6563
0.5094 0.0000 0.8602
0.5156 0.0000 0.1837
0.5267 0.0000 0.4906
0.7181 0.5000 0.0278
0.7453 0.5000 0.3409
0.7641 0.5000 0.6782
0.0915 0.5000 0.0777
0.1048 0.5000 0.4345
0.1304 0.5000 0.7532
0.1712 0.0000 0.9279
0.1866 0.0000 0.5950
0.3624 0.0000 0.4083
0.4110 0.5000 0.9074
0.5782 0.5000 0.1192
0.6222 0.5000 0.4464
0.6580 0.0000 0.2820
0.6602 0.0000 0.9481
0.8390 0.0000 0.0773
0.1703 0.0000 0.2742
0.3456 0.0000 0.0775
0.3754 0.0000 0.7286
0.3988 0.5000 0.2450
0.4354 0.5000 0.5715
0.6074 0.5000 0.7810
0.6645 0.0000 0.6096
0.8592 0.0000 0.4111
0.8758 0.0000 0.7447
0.9096 0.5000 0.2558
0.9289 0.5000 0.5706
0.9464 0.5000 0.9003
```

The 10 most intense peaks (2θ = 15–90°), in order of rising 2θ:
| 2θ (°) | d (Å) | I/Imax | index |
| --- | --- | --- | --- |
| 25.5 | 3.492 | 801 | 2 0 -3 |
| 26.5 | 3.363 | 892 | 2 0 3 |
| 34.4 | 2.607 | 1000 | 2 1 0 |
| 39.6 | 2.276 | 196 | 2 1 3 |
| 50.9 | 1.794 | 199 | 4 1 -3 |
| 51.0 | 1.792 | 210 | 2 1 -6 |
| 52.1 | 1.757 | 556 | 2 1 6 |
| 54.6 | 1.682 | 162 | 4 0 6 |
| 59.8 | 1.546 | 201 | 0 2 0 |
| 65.1 | 1.433 | 156 | 6 1 0 |